Computed PXRD pattern
Compound: PrNdSn6
Radiation: a wavelength of 1.5418 Å
Structure: a GGA-PBE-relaxed structure
Lines closer than 0.1° are merged.

Largest 9 diffraction maxima, sorted by position, 2θ = 5–70°:
- 18.54 deg, intensity 1
- 32.40 deg, intensity 100
- 37.50 deg, intensity 17
- 37.64 deg, intensity 34
- 54.18 deg, intensity 24
- 54.28 deg, intensity 12
- 64.47 deg, intensity 14
- 64.65 deg, intensity 28
- 67.84 deg, intensity 12

```
data_PrNdSn6
_chemical_formula_sum 'Pr1 Nd1 Sn6'
_symmetry_space_group_name_H-M 'P 1'
_symmetry_Int_Tables_number 1
_cell_length_a 4.780
_cell_length_b 4.780
_cell_length_c 9.593
_cell_angle_alpha 90.00
_cell_angle_beta 90.00
_cell_angle_gamma 90.00
loop_
_symmetry_equiv_pos_as_xyz
'x,y,z'
loop_
_atom_site_label
_atom_site_type_symbol
_atom_site_fract_x
_atom_site_fract_y
_atom_site_fract_z
_atom_site_occupancy
Pr1 Pr 0.000 0.000 0.000 1
Nd1 Nd 0.000 0.000 0.500 1
Sn1 Sn 0.000 0.500 0.251 1
Sn2 Sn 0.000 0.500 0.749 1
Sn3 Sn 0.500 0.000 0.251 1
Sn4 Sn 0.500 0.000 0.749 1
Sn5 Sn 0.500 0.500 0.000 1
Sn6 Sn 0.500 0.500 0.500 1
```